AcCo2GeO6: computed powder diffractogram (copper Kα), based on DFT lattice parameters and positions (PBE+U).
No peak broadening, texture or thermal motion is included.

The 10 most intense peaks (2θ from 5° to 70°), in order of rising 2θ:
- 20.1°, rel. 77.6
- 22.6°, rel. 47.9
- 22.9°, rel. 46.3
- 30.8°, rel. 100.0
- 31.2°, rel. 93.1
- 31.7°, rel. 88.1
- 33.4°, rel. 87.6
- 33.9°, rel. 81.3
- 34.3°, rel. 77.9
- 36.1°, rel. 54.3

Cell and atoms:
Cell: 5.2385 5.2909 5.6991 Å, 63.25 64.35 61.33°
Positions (direct):
Ac1 0.0000 0.0000 0.0000
Co1 0.2272 0.2161 0.3432
Co2 0.7376 0.7477 0.7697
Ge1 0.5346 0.5401 0.3924
O1 0.1452 0.8162 0.5666
O2 0.3952 0.5186 0.1365
O3 0.4524 0.1528 0.5771
O4 0.5300 0.9262 0.1139
O5 0.7836 0.4697 0.5930
O6 0.9346 0.4016 0.1359